Record 1
The following is a theoretical powder diffraction line list of K4RbAg3F12. It was derived from a cell relaxed with PBE, using copper Kα.
Neutral-atom scattering factors, no anomalous dispersion.

```
data_K4RbAg3F12
_chemical_formula_sum 'K8 Rb2 Ag6 F24'
_cell_length_a 9.282
_cell_length_b 9.282
_cell_length_c 9.282
_cell_angle_alpha 90.00
_cell_angle_beta 90.00
_cell_angle_gamma 90.00
_symmetry_space_group_name_H-M 'I m -3'
_symmetry_Int_Tables_number 204
_symmetry_space_group_name_Hall '-I 2 2 3'
loop_
_atom_site_label
_atom_site_type_symbol
_atom_site_fract_x
_atom_site_fract_y
_atom_site_fract_z
K1 K 0.250 0.250 0.250
Rb1 Rb 0.000 0.000 0.000
Ag1 Ag 0.000 0.000 0.500
F1 F 0.000 0.336 0.149
```

Peak list (10 most intense, 2θ from 10° to 90°, sorted by position)
(hkl), 2θ (°), d/Å, intensity
2 0 0, 19.12, 4.641, 30
2 2 0, 27.17, 3.282, 100
2 2 2, 33.44, 2.680, 12
4 0 0, 38.81, 2.321, 20
4 2 2, 48.02, 1.895, 55
4 4 0, 56.05, 1.641, 11
6 0 0, 59.78, 1.547, 12
6 0 2, 63.37, 1.468, 20
6 2 4, 76.85, 1.240, 19
6 6 0, 89.62, 1.094, 14

***

Record 2
The following is a theoretical powder diffraction line list of KRb2AgF5. It was derived from a cell relaxed with PBE, using copper Kα.
Neutral-atom scattering factors, no anomalous dispersion.

```
data_KRb2AgF5
_chemical_formula_sum 'K2 Rb4 Ag2 F10'
_cell_length_a 4.265
_cell_length_b 6.448
_cell_length_c 13.442
_cell_angle_alpha 90.00
_cell_angle_beta 90.00
_cell_angle_gamma 90.00
_symmetry_space_group_name_H-M 'I m m m'
_symmetry_Int_Tables_number 71
_symmetry_space_group_name_Hall '-I 2 2'
loop_
_atom_site_label
_atom_site_type_symbol
_atom_site_fract_x
_atom_site_fract_y
_atom_site_fract_z
K1 K 0.000 0.000 0.000
Rb1 Rb 0.000 0.500 0.211
Ag1 Ag 0.000 0.000 0.500
F1 F 0.000 0.249 0.378
F2 F 0.000 0.500 0.000
```

Peak list (10 most intense, 2θ from 10° to 90°, sorted by position)
(hkl), 2θ (°), d/Å, intensity
0 1 1, 15.24, 5.813, 48
0 0 4, 26.52, 3.360, 13
0 2 0, 27.67, 3.224, 23
1 1 2, 28.39, 3.144, 100
0 1 5, 36.20, 2.481, 20
0 2 4, 38.71, 2.326, 31
1 2 3, 40.44, 2.231, 22
2 0 0, 42.38, 2.133, 18
1 3 2, 49.38, 1.846, 21
2 2 4, 58.73, 1.572, 16

***

Record 3
The following is a theoretical powder diffraction line list of KSrAgF6. It was derived from a cell relaxed with PBE, using copper Kα.
Neutral-atom scattering factors, no anomalous dispersion.

```
data_KSrAgF6
_chemical_formula_sum 'K1 Sr1 Ag1 F6'
_cell_length_a 6.0619
_cell_length_b 6.0619
_cell_length_c 4.2478
_cell_angle_alpha 90.00
_cell_angle_beta 90.00
_cell_angle_gamma 120.00
_symmetry_space_group_name_H-M 'P 3'
_symmetry_Int_Tables_number 143
_symmetry_space_group_name_Hall 'P 3'
loop_
_atom_site_label
_atom_site_type_symbol
_atom_site_fract_x
_atom_site_fract_y
_atom_site_fract_z
K1 K 0.0000 0.0000 0.0000
Sr1 Sr 0.3333 0.6667 0.4625
Ag1 Ag 0.6667 0.3333 0.7485
F1 F 0.0317 0.4503 0.9628
F2 F 0.3306 0.2469 0.4938
```

Peak list (10 most intense, 2θ from 10° to 90°, sorted by position)
(hkl), 2θ (°), d/Å, intensity
1 0 0, 16.89, 5.250, 37
0 1 1, 27.00, 3.302, 100
1 1 0, 29.47, 3.031, 70
2 -1 1, 36.42, 2.467, 29
2 0 1, 40.39, 2.233, 74
1 0 2, 46.10, 1.969, 32
3 -2 1, 50.79, 1.798, 43
3 0 0, 52.28, 1.750, 24
0 2 2, 55.67, 1.651, 26
3 -1 2, 64.24, 1.450, 21

***

Record 4
The following is a theoretical powder diffraction line list of KAgTeF6. It was derived from a cell relaxed with PBE, using copper Kα.
Neutral-atom scattering factors, no anomalous dispersion.

```
data_KAgTeF6
_chemical_formula_sum 'K1 Ag1 Te1 F6'
_cell_length_a 4.370
_cell_length_b 6.367
_cell_length_c 6.377
_cell_angle_alpha 119.92
_cell_angle_beta 90.08
_cell_angle_gamma 90.11
_symmetry_space_group_name_H-M 'P 1'
_symmetry_Int_Tables_number 1
_symmetry_space_group_name_Hall 'P 1'
loop_
_atom_site_label
_atom_site_type_symbol
_atom_site_fract_x
_atom_site_fract_y
_atom_site_fract_z
K1 K 0.000 0.000 0.000
Ag1 Ag 0.503 0.334 0.667
Te1 Te 0.598 0.667 0.334
F1 F 0.462 0.315 0.291
F2 F 0.464 0.710 0.025
F3 F 0.466 0.976 0.687
F4 F 0.891 0.453 0.081
F5 F 0.892 0.627 0.548
F6 F 0.892 0.922 0.374
```

Peak list (10 most intense, 2θ from 10° to 90°, sorted by position)
(hkl), 2θ (°), d/Å, intensity
0 0 1, 16.05, 5.520, 53
1 0 0, 20.32, 4.370, 54
1 1 -1, 26.01, 3.426, 100
0 1 1, 27.99, 3.187, 92
1 -1 2, 34.81, 2.577, 46
1 2 -1, 34.90, 2.571, 23
1 0 -2, 38.52, 2.337, 21
1 2 0, 38.62, 2.331, 30
1 3 -2, 48.37, 1.882, 27
0 3 0, 49.51, 1.841, 24